# SmTlCdTe3
Theoretical XRD peak list, copper Kα. Input: a PBE-relaxed structure.
Kinematic intensities with the Lorentz-polarization factor, no thermal factor.

Crystal structure
abc: 9.517 4.544 10.554
angles: 90.00 105.91 90.00
Element x y z (fractional)
Sm  0.175  0.250  0.141
Sm  0.825  0.750  0.859
Tl  0.293  0.750  0.781
Tl  0.707  0.250  0.219
Cd  0.415  0.750  0.394
Cd  0.585  0.250  0.606
Te  0.046  0.250  0.836
Te  0.268  0.250  0.468
Te  0.401  0.750  0.122
Te  0.599  0.250  0.878
Te  0.732  0.750  0.532
Te  0.954  0.750  0.164

Largest 12 diffraction maxima, sorted by position, 2θ from 10° to 90°:
| 2theta | I_rel |
| --- | --- |
| 26.3 | 69.0 |
| 27.4 | 100.0 |
| 27.7 | 68.5 |
| 30.6 | 43.7 |
| 32.3 | 24.5 |
| 34.5 | 16.0 |
| 35.8 | 17.5 |
| 37.9 | 22.9 |
| 39.7 | 39.3 |
| 40.8 | 47.0 |
| 43.4 | 29.8 |
| 48.2 | 16.3 |